# AcPaI2
Simulated X-ray powder pattern, a wavelength of 1.5418 Å. Input: DFT lattice parameters and positions (GGA-PBE).

Unit cell a=11.6559 b=11.6559 c=11.6559 alpha=19.09 beta=19.09 gamma=19.09
Fractional positions:
Ac 0.0000 0.0000 0.0000
Pa 0.5000 0.5000 0.5000
I 0.4081 0.4081 0.4081
I 0.5919 0.5919 0.5919

Top 10 peaks for 10 to 90 degrees two-theta, sorted by position:
2θ/deg	Rel. int.
15.49	16
26.76	16
27.14	100
28.63	22
29.70	15
31.27	32
33.97	34
37.53	64
47.02	37
57.56	35